Entry 1:
Theoretical powder XRD pattern of CdRe4Tc for copper Kα, from a crystal structure in Alexandria, relaxed with PBE.
Peak positions follow from Bragg's law for the DFT cell and can differ from measured ones.

Most intense lines, 2θ from 10° to 90°, sorted by position:
20.94°, I 31; 34.53°, I 14; 40.73°, I 100; 42.62°, I 59; 49.63°, I 14; 54.43°, I 8; 66.07°, I 32; 72.81°, I 30; 86.94°, I 12; 88.21°, I 23

Structure:
Lattice parameters (Å, degrees): 7.3478 7.3478 7.3478 90.00 90.00 90.00
Space group F-43m (No. 216)
One atom of each set of equivalent atoms:
Cd (0.0000, 0.0000, 0.0000)
Re (0.1256, 0.1256, 0.6256)
Tc (0.2500, 0.2500, 0.2500)


Entry 2:
Theoretical powder XRD pattern of Al2InBiS6 for copper Kα, from a crystal structure in Alexandria, relaxed with PBE.
Peak positions follow from Bragg's law for the DFT cell and can differ from measured ones.

Most intense lines, 2θ from 10° to 90°, sorted by position:
10.47°, I 58; 14.65°, I 77; 20.38°, I 32; 23.32°, I 30; 23.50°, I 52; 26.78°, I 100; 27.64°, I 33; 32.86°, I 63; 34.01°, I 31; 47.41°, I 37

Structure:
Lattice parameters (Å, degrees): 12.3401 11.8140 6.5864 90.00 101.52 90.00
Space group C2/c (No. 15)
One atom of each set of equivalent atoms:
Al (0.1895, 0.0856, 0.2954)
In (0.0000, 0.2127, 0.7500)
Bi (0.0000, 0.3984, 0.2500)
S (0.1222, 0.4001, 0.6558)
S (0.1285, 0.2409, 0.1051)
S (0.1394, 0.0748, 0.6110)


Entry 3:
Theoretical powder XRD pattern of Dy2AgGe2 for copper Kα, from a crystal structure in Alexandria, relaxed with PBE.
Peak positions follow from Bragg's law for the DFT cell and can differ from measured ones.

Most intense lines, 2θ from 10° to 90°, sorted by position:
27.95°, I 12; 32.67°, I 48; 35.07°, I 100; 35.57°, I 11; 39.93°, I 34; 42.24°, I 22; 57.41°, I 16; 58.98°, I 11; 59.53°, I 20; 72.59°, I 12

Structure:
Lattice parameters (Å, degrees): 7.1391 7.1391 8.5581 90.00 90.00 90.00
Space group P4/mnc (No. 128)
One atom of each set of equivalent atoms:
Dy (0.1756, 0.3245, 0.0000)
Ag (0.0000, 0.0000, 0.2495)
Ge (0.1264, 0.6264, 0.2500)


Entry 4:
Theoretical powder XRD pattern of Ba6Bi2NO for copper Kα, from a crystal structure in Alexandria, relaxed with PBE.
Peak positions follow from Bragg's law for the DFT cell and can differ from measured ones.

Most intense lines, 2θ from 10° to 90°, sorted by position:
27.78°, I 100; 32.18°, I 57; 46.16°, I 42; 54.69°, I 31; 54.81°, I 15; 57.38°, I 14; 74.26°, I 6; 74.36°, I 13; 76.54°, I 13; 85.47°, I 10

Structure:
Lattice parameters (Å, degrees): 7.8740 7.8740 11.1045 90.00 90.00 90.00
Space group I4/mmm (No. 139)
One atom of each set of equivalent atoms:
Ba (0.0000, 0.0000, 0.2485)
Ba (0.2484, 0.2484, 0.0000)
Bi (0.0000, 0.5000, 0.2500)
N (0.0000, 0.0000, 0.0000)
O (0.0000, 0.0000, 0.5000)